# 1
Simulated XRD peak list of Mg6TiZn for Cu Kα, 1.54184 Å, from a DFT-relaxed cell (GGA-PBE, the Materials Project).
Peak positions follow from Bragg's law for the DFT cell and can differ from measured ones.

Principal peaks in the range 10° ≤ 2θ ≤ 90°, low angle first:
Position (°2θ)  I/Imax  h k l
16.36  28  0 1 1
24.52  9  1 0 2
33.07  26  0 2 2
36.77  25  2 0 0
37.97  100  1 0 4
50.28  15  2 2 2
59.06  16  0 4 0
67.01  17  3 0 4
71.63  18  2 4 0
72.43  10  1 4 4

Structure:
Cell: 4.889 6.251 10.845 Å, 90.00 90.00 90.00°
Space group Amm2 (No. 38)
Unique sites:
Mg 0.000 0.000 0.000 (multiplicity 2)
Mg 0.000 0.242 0.751 (multiplicity 4)
Mg 0.500 0.000 0.167 (multiplicity 2)
Mg 0.500 0.243 0.421 (multiplicity 4)
Ti 0.000 0.000 0.508 (multiplicity 2)
Zn 0.500 0.000 0.654 (multiplicity 2)

---

# 2
Simulated XRD peak list of Mn3PtN for Cu Kα, 1.54184 Å, from a DFT-relaxed cell (GGA-PBE, the Materials Project).
Peak positions follow from Bragg's law for the DFT cell and can differ from measured ones.

Principal peaks in the range 10° ≤ 2θ ≤ 90°, low angle first:
Position (°2θ)  I/Imax  h k l
22.54  37  1 0 0
32.09  49  1 1 0
39.57  100  1 1 1
46.01  55  2 0 0
51.82  19  2 1 0
57.20  20  2 1 1
67.11  34  2 2 0
71.78  10  3 0 0
80.80  36  3 1 1
85.21  12  2 2 2

Structure:
Cell: 3.945 3.945 3.945 Å, 90.00 90.00 90.00°
Space group Pm-3m (No. 221)
Unique sites:
Mn 0.000 0.000 0.500 (multiplicity 3)
Pt 0.500 0.500 0.500 (multiplicity 1)
N 0.000 0.000 0.000 (multiplicity 1)

---

# 3
Simulated XRD peak list of B5F6 for Cu Kα, 1.54184 Å, from a DFT-relaxed cell (GGA-PBE, the Materials Project).
Peak positions follow from Bragg's law for the DFT cell and can differ from measured ones.

Principal peaks in the range 10° ≤ 2θ ≤ 90°, low angle first:
Position (°2θ)  I/Imax  h k l
13.85  22  1 0 1
20.83  18  1 0 5
22.98  75  1 1 4
30.62  100  1 2 1
31.80  83  1 0 9
31.97  78  2 1 3
37.49  18  1 1 10
38.00  23  2 1 7
39.35  28  2 2 2
42.36  51  2 0 10

Structure:
Cell: 6.565 6.565 28.035 Å, 90.00 90.00 90.00°
Space group I4_1/a (No. 88, origin choice 2)
Unique sites:
B 0.000 0.250 0.044 (multiplicity 8)
B 0.081 0.341 0.101 (multiplicity 16)
B 0.235 0.002 0.669 (multiplicity 16)
F 0.037 0.471 0.339 (multiplicity 16)
F 0.076 0.037 0.441 (multiplicity 16)
F 0.106 0.389 0.231 (multiplicity 16)

---

# 4
Simulated XRD peak list of SmTmRu2 for Cu Kα, 1.54184 Å, from a DFT-relaxed cell (GGA-PBE, the Materials Project).
Peak positions follow from Bragg's law for the DFT cell and can differ from measured ones.

Principal peaks in the range 10° ≤ 2θ ≤ 90°, low angle first:
Position (°2θ)  I/Imax  h k l
26.12  5  2 0 0
37.27  100  2 2 0
46.08  2  2 2 2
53.73  17  4 0 0
60.69  2  4 2 0
67.21  35  4 2 2
79.45  11  4 4 0
85.35  1  6 0 0

Structure:
Cell: 6.824 6.824 6.824 Å, 90.00 90.00 90.00°
Space group Fm-3m (No. 225)
Unique sites:
Sm 0.000 0.000 0.000 (multiplicity 4)
Tm 0.000 0.000 0.500 (multiplicity 4)
Ru 0.250 0.250 0.250 (multiplicity 8)

---

# 5
Simulated XRD peak list of Nb4As3 for Cu Kα, 1.54184 Å, from a DFT-relaxed cell (GGA-PBE, the Materials Project).
Peak positions follow from Bragg's law for the DFT cell and can differ from measured ones.

Principal peaks in the range 10° ≤ 2θ ≤ 90°, low angle first:
Position (°2θ)  I/Imax  h k l
26.30  19  1 1 1
35.17  69  1 1 5
36.52  100  1 3 4
37.69  32  0 6 2
37.90  18  0 0 8
39.24  22  0 6 3
39.88  23  0 2 8
39.98  59  1 5 1
45.98  44  1 3 7
51.60  39  2 0 0

Structure:
Cell: 3.542 14.795 18.993 Å, 90.00 90.00 90.00°
Space group Cmcm (No. 63)
Unique sites:
Nb 0.000 0.000 0.000 (multiplicity 4)
Nb 0.000 0.053 0.250 (multiplicity 4)
Nb 0.000 0.262 0.162 (multiplicity 8)
Nb 0.000 0.332 0.529 (multiplicity 8)
Nb 0.000 0.466 0.120 (multiplicity 8)
As 0.000 0.098 0.118 (multiplicity 8)
As 0.000 0.158 0.577 (multiplicity 8)
As 0.000 0.308 0.750 (multiplicity 4)
As 0.000 0.413 0.250 (multiplicity 4)

---

# 6
Simulated XRD peak list of Y2Fe17 for Cu Kα, 1.54184 Å, from a DFT-relaxed cell (GGA-PBE, the Materials Project).
Peak positions follow from Bragg's law for the DFT cell and can differ from measured ones.

Principal peaks in the range 10° ≤ 2θ ≤ 90°, low angle first:
Position (°2θ)  I/Imax  h k l
30.22  19  1 1 3
36.59  36  3 0 0
38.03  26  0 2 4
42.50  64  2 2 0
42.88  100  3 0 3
44.01  35  0 0 6
44.15  16  2 0 5
48.16  49  2 2 3
77.77  18  6 0 0
80.14  17  3 0 9

Structure:
Cell: 8.5083 8.5083 12.3457 Å, 90.00 90.00 120.00°
Space group R-3m (No. 166, hexagonal axes)
Unique sites:
Y 0.0000 0.0000 0.1592 (multiplicity 6)
Fe 0.0000 0.0000 0.4036 (multiplicity 6)
Fe 0.0000 0.2925 0.5000 (multiplicity 18)
Fe 0.0000 0.5000 0.0000 (multiplicity 9)
Fe 0.0014 0.5007 0.3442 (multiplicity 18)

---

# 7
Simulated XRD peak list of Ce2ZrS5 for Cu Kα, 1.54184 Å, from a DFT-relaxed cell (GGA-PBE, the Materials Project).
Peak positions follow from Bragg's law for the DFT cell and can differ from measured ones.

Principal peaks in the range 10° ≤ 2θ ≤ 90°, low angle first:
Position (°2θ)  I/Imax  h k l
24.14  52  0 0 2
25.92  100  3 0 1
26.59  54  1 2 1
27.14  51  2 2 0
33.10  40  0 2 2
34.49  67  3 2 1
36.64  75  2 2 2
45.62  33  0 4 0
46.81  61  6 0 0
53.21  35  3 4 1

Structure:
Cell: 11.656 7.954 7.372 Å, 90.00 90.00 90.00°
Space group Pnma (No. 62)
Unique sites:
Ce 0.177 0.001 0.029 (multiplicity 8)
Zr 0.007 0.750 0.578 (multiplicity 4)
S 0.004 0.750 0.947 (multiplicity 4)
S 0.088 0.037 0.663 (multiplicity 8)
S 0.183 0.750 0.339 (multiplicity 4)
S 0.208 0.250 0.314 (multiplicity 4)

---

# 8
Simulated XRD peak list of DyIn2Ni for Cu Kα, 1.54184 Å, from a DFT-relaxed cell (GGA-PBE, the Materials Project).
Peak positions follow from Bragg's law for the DFT cell and can differ from measured ones.

Principal peaks in the range 10° ≤ 2θ ≤ 90°, low angle first:
Position (°2θ)  I/Imax  h k l
32.85  100  1 1 2
33.12  33  1 3 0
35.28  60  1 3 1
36.43  29  0 4 1
40.00  29  0 2 3
41.16  17  1 3 2
42.07  35  2 0 0
59.45  18  2 2 3
61.78  18  1 5 3
66.31  17  1 7 0

Structure:
Cell: 4.295 10.445 7.496 Å, 90.00 90.00 90.00°
Space group Cmcm (No. 63)
Unique sites:
Dy 0.000 0.066 0.250 (multiplicity 4)
In 0.000 0.356 0.050 (multiplicity 8)
Ni 0.000 0.218 0.750 (multiplicity 4)

---

# 9
Simulated XRD peak list of Cd2Hg for Cu Kα, 1.54184 Å, from a DFT-relaxed cell (GGA-PBE, the Materials Project).
Peak positions follow from Bragg's law for the DFT cell and can differ from measured ones.

Principal peaks in the range 10° ≤ 2θ ≤ 90°, low angle first:
Position (°2θ)  I/Imax  h k l
24.20  12  1 0 1
31.28  83  1 1 0
37.76  100  1 0 3
44.83  31  2 0 0
60.01  51  2 1 3
65.27  10  2 2 0
72.08  15  1 1 6
74.16  14  3 1 0
77.94  12  3 0 3
80.66  11  2 0 6

Structure:
Cell: 4.044 4.044 8.845 Å, 90.00 90.00 90.00°
Space group I4/mmm (No. 139)
Unique sites:
Cd 0.000 0.000 0.167 (multiplicity 4)
Hg 0.000 0.000 0.500 (multiplicity 2)

---

# 10
Simulated XRD peak list of EuAu3 for Cu Kα, 1.54184 Å, from a DFT-relaxed cell (GGA-PBE, the Materials Project).
Peak positions follow from Bragg's law for the DFT cell and can differ from measured ones.

Principal peaks in the range 10° ≤ 2θ ≤ 90°, low angle first:
Position (°2θ)  I/Imax  h k l
21.84  1  1 0 1
35.30  100  1 1 2
37.51  42  2 0 0
47.31  11  0 0 4
54.08  15  2 2 0
61.88  20  2 0 4
66.25  33  3 1 2
74.66  12  2 2 4
80.07  15  4 0 0

Structure:
Cell: 4.796 4.796 7.685 Å, 90.00 90.00 90.00°
Space group I4/mmm (No. 139)
Unique sites:
Eu 0.000 0.000 0.000 (multiplicity 2)
Au 0.000 0.000 0.500 (multiplicity 2)
Au 0.000 0.500 0.250 (multiplicity 4)